Record 1
The following is a theoretical powder diffraction line list of Mg14SiBO16. It was derived from a DFT-relaxed cell (GGA-PBE, the Materials Project), using Cu Kα X-rays.
Intensities are scaled so that the largest is 100.

Cell and atoms:
abc: 8.571 8.571 4.252
angles: 90.00 90.00 90.00
Positions (direct):
Mg: 0.000 0.245 0.000
Mg: 0.000 0.500 0.500
Mg: 0.000 0.755 0.000
Mg: 0.243 0.243 0.500
Mg: 0.243 0.757 0.500
Mg: 0.245 0.000 0.000
Mg: 0.246 0.500 0.000
Mg: 0.500 0.000 0.500
Mg: 0.500 0.246 0.000
Mg: 0.500 0.754 0.000
Mg: 0.754 0.500 0.000
Mg: 0.755 0.000 0.000
Mg: 0.757 0.243 0.500
Mg: 0.757 0.757 0.500
Si: 0.500 0.500 0.500
B: 0.000 0.000 0.500
O: 0.000 0.000 0.000
O: 0.000 0.266 0.500
O: 0.000 0.500 0.000
O: 0.000 0.734 0.500
O: 0.250 0.250 0.000
O: 0.250 0.750 0.000
O: 0.261 0.500 0.500
O: 0.266 0.000 0.500
O: 0.500 0.000 0.000
O: 0.500 0.261 0.500
O: 0.500 0.500 0.000
O: 0.500 0.739 0.500
O: 0.734 0.000 0.500
O: 0.739 0.500 0.500
O: 0.750 0.250 0.000
O: 0.750 0.750 0.000

Most intense lines, 2θ from 10° to 80°, in order of rising 2θ:
two_theta, d [Å], I (rel.)
36.4, 2.468, 13
42.2, 2.143, 100
42.5, 2.126, 50
61.2, 1.515, 28
61.4, 1.509, 55
73.3, 1.291, 7
73.8, 1.284, 3
77.3, 1.234, 25

Record 2
The following is a theoretical powder diffraction line list of Th4MgB8O20. It was derived from a DFT-relaxed cell (GGA-PBE, the Materials Project), using Cu Kα X-rays.
Intensities are scaled so that the largest is 100.

Cell and atoms:
abc: 6.820 6.820 10.268
angles: 100.19 100.19 63.68
Positions (direct):
Th: 0.172 0.172 0.052
Th: 0.221 0.406 0.440
Th: 0.594 0.779 0.560
Th: 0.828 0.828 0.948
Mg: 0.663 0.337 0.000
B: 0.042 0.232 0.609
B: 0.313 0.372 0.873
B: 0.403 0.548 0.249
B: 0.452 0.597 0.751
B: 0.628 0.687 0.127
B: 0.768 0.958 0.391
B: 0.957 0.004 0.753
B: 0.996 0.043 0.247
O: 0.059 0.888 0.138
O: 0.090 0.193 0.274
O: 0.096 0.465 0.887
O: 0.112 0.941 0.862
O: 0.259 0.119 0.584
O: 0.298 0.413 0.214
O: 0.364 0.585 0.621
O: 0.415 0.636 0.379
O: 0.432 0.482 0.845
O: 0.448 0.176 0.925
O: 0.518 0.568 0.155
O: 0.535 0.904 0.113
O: 0.563 0.072 0.438
O: 0.587 0.702 0.786
O: 0.807 0.910 0.726
O: 0.824 0.552 0.075
O: 0.848 0.066 0.330
O: 0.881 0.741 0.416
O: 0.928 0.437 0.562
O: 0.934 0.152 0.670

Most intense lines, 2θ from 10° to 80°, in order of rising 2θ:
two_theta, d [Å], I (rel.)
15.6, 5.667, 46
16.2, 5.475, 100
17.7, 5.021, 57
24.7, 3.598, 51
26.0, 3.421, 61
26.5, 3.365, 62
29.0, 3.081, 50
29.7, 3.011, 31

Record 3
The following is a theoretical powder diffraction line list of Mg3TiB2O8. It was derived from a DFT-relaxed cell (GGA-PBE, the Materials Project), using Cu Kα X-rays.
Intensities are scaled so that the largest is 100.

Cell and atoms:
abc: 3.129 9.502 9.388
angles: 90.00 90.00 90.00
Positions (direct):
Mg: 0.000 0.064 0.000
Mg: 0.000 0.936 0.500
Mg: 0.500 0.181 0.268
Mg: 0.500 0.432 0.794
Mg: 0.500 0.568 0.294
Mg: 0.500 0.819 0.768
Ti: 0.000 0.315 0.505
Ti: 0.000 0.685 0.005
B: 0.000 0.380 0.067
B: 0.000 0.620 0.567
B: 0.500 0.118 0.726
B: 0.500 0.882 0.226
O: 0.000 0.145 0.419
O: 0.000 0.250 0.136
O: 0.000 0.390 0.923
O: 0.000 0.494 0.647
O: 0.000 0.506 0.147
O: 0.000 0.610 0.423
O: 0.000 0.750 0.636
O: 0.000 0.855 0.919
O: 0.500 0.003 0.145
O: 0.500 0.115 0.870
O: 0.500 0.252 0.655
O: 0.500 0.369 0.400
O: 0.500 0.631 0.900
O: 0.500 0.748 0.155
O: 0.500 0.885 0.370
O: 0.500 0.997 0.645

Most intense lines, 2θ from 10° to 80°, in order of rising 2θ:
two_theta, d [Å], I (rel.)
13.3, 6.679, 48
29.8, 3.001, 33
34.1, 2.626, 40
34.4, 2.603, 100
42.7, 2.120, 29
45.2, 2.006, 28
50.3, 1.814, 31
57.0, 1.615, 31